This entry pairs a crystal structure of KLi2HAuCl with its theoretical powder diffractogram. Radiation: Cu Kα. Structure: a DFT-relaxed cell (PBE, Alexandria).
Neutral-atom scattering factors, no anomalous dispersion.

Principal peaks in the range 5 to 70 degrees two-theta, by intensity:
- 10.4°, 8.521 Å, I = 100
- 28.3°, 3.151 Å, I = 70
- 25.6°, 3.479 Å, I = 59
- 33.8°, 2.654 Å, I = 57
- 20.9°, 4.260 Å, I = 55
- 37.0°, 2.429 Å, I = 54
- 31.5°, 2.840 Å, I = 53
- 24.1°, 3.697 Å, I = 46
- 23.3°, 3.812 Å, I = 33
- 42.9°, 2.110 Å, I = 30

Cell and atoms:
```
6
Lattice="3.8115 0.0000 0.0000 0.0000 1.8935 8.5206 0.0000 -1.8935 8.5206" Properties=species:S:1:pos:R:3 pbc="T T T"
K 0.0000 0.0000 0.0000
Li 1.9058 0.0000 2.9813
Li 1.9058 0.0000 13.7484
H 0.0000 0.0000 3.3772
Au 0.0000 0.0000 11.6956
Cl 1.9058 0.0000 6.7615
```

This entry pairs a crystal structure of KLi2HAuCl with its theoretical powder diffractogram. Radiation: Cu Kα. Structure: a DFT-relaxed cell (PBE, Alexandria).
Neutral-atom scattering factors, no anomalous dispersion.

Principal peaks in the range 5 to 70 degrees two-theta, by intensity:
- 15.9°, 5.574 Å, I = 100
- 17.9°, 4.949 Å, I = 68
- 32.7°, 2.737 Å, I = 60
- 35.3°, 2.540 Å, I = 56
- 29.9°, 2.988 Å, I = 54
- 27.1°, 3.285 Å, I = 44
- 15.4°, 5.764 Å, I = 43
- 31.0°, 2.882 Å, I = 39
- 32.1°, 2.787 Å, I = 32
- 29.6°, 3.020 Å, I = 30

Cell and atoms:
```
6
Lattice="5.9380 -1.7189 0.0000 5.9380 1.7189 0.0000 -2.1168 0.0000 5.7641" Properties=species:S:1:pos:R:3 pbc="T T T"
K 0.0000 0.0000 0.0000
Li 0.8711 0.0000 4.2351
Li 8.8642 0.0000 2.6034
H 2.6094 0.0000 3.6114
Au 5.2593 0.0000 2.7995
Cl 8.6580 0.0000 0.2254
```

This entry pairs a crystal structure of KLi2HAuCl with its theoretical powder diffractogram. Radiation: Cu Kα. Structure: a DFT-relaxed cell (PBE, Alexandria).
Neutral-atom scattering factors, no anomalous dispersion.

Principal peaks in the range 5 to 70 degrees two-theta, by intensity:
- 15.5°, 5.723 Å, I = 100
- 29.9°, 2.989 Å, I = 79
- 18.5°, 4.793 Å, I = 68
- 32.1°, 2.785 Å, I = 54
- 15.3°, 5.772 Å, I = 48
- 35.5°, 2.532 Å, I = 39
- 24.8°, 3.591 Å, I = 38
- 31.0°, 2.886 Å, I = 38
- 26.8°, 3.325 Å, I = 37
- 31.3°, 2.862 Å, I = 37

Cell and atoms:
```
6
Lattice="5.9635 -1.7375 0.0000 5.9635 1.7375 0.0000 -1.6901 0.0000 5.7724" Properties=species:S:1:pos:R:3 pbc="T T T"
K 0.0000 0.0000 0.0000
Li 0.7603 0.0000 3.5253
Li 8.6004 0.0000 1.8188
H 1.7729 0.0000 2.0408
Au 4.6530 0.0000 2.7017
Cl 7.1263 0.0000 5.1712
```

This entry pairs a crystal structure of H4AuNCl2 with its theoretical powder diffractogram. Radiation: Cu Kα. Structure: a DFT-relaxed cell (PBE, Alexandria).
Neutral-atom scattering factors, no anomalous dispersion.

Principal peaks in the range 5 to 70 degrees two-theta, by intensity:
- 15.1°, 5.875 Å, I = 100
- 30.4°, 2.937 Å, I = 67
- 21.4°, 4.154 Å, I = 59
- 29.7°, 3.008 Å, I = 35
- 34.1°, 2.627 Å, I = 32
- 42.9°, 2.110 Å, I = 25
- 43.2°, 2.094 Å, I = 24
- 43.6°, 2.077 Å, I = 24
- 36.9°, 2.437 Å, I = 17
- 33.4°, 2.686 Å, I = 16

Cell and atoms:
```
16
Lattice="4.1515 -4.1572 0.0000 4.1515 4.1572 0.0000 -0.0652 0.0000 6.0164" Properties=species:S:1:pos:R:3 pbc="T T T"
H 5.3624 -2.8795 6.0140
H 6.1700 -2.0813 4.9326
H 2.0679 2.0813 1.0838
H 2.8755 2.8795 0.0023
H 5.3950 2.8795 3.0059
H 6.2025 2.0813 1.9244
H 2.0353 -2.0813 4.0920
H 2.8429 -2.8795 3.0105
Au 4.1515 0.0000 0.0000
Au 4.1189 0.0000 3.0082
N 2.0758 2.0786 0.0000
N 2.0432 -2.0786 3.0082
Cl 0.0000 0.0000 0.0000
Cl -0.0326 0.0000 3.0082
Cl 2.0432 2.0786 3.0082
Cl 2.0758 -2.0786 0.0000
```

This entry pairs a crystal structure of H9AuCl4O4 with its theoretical powder diffractogram. Radiation: Cu Kα. Structure: a DFT-relaxed cell (PBE, Alexandria).
Neutral-atom scattering factors, no anomalous dispersion.

Principal peaks in the range 5 to 70 degrees two-theta, by intensity:
- 9.4°, 9.377 Å, I = 100
- 19.0°, 4.677 Å, I = 36
- 14.1°, 6.301 Å, I = 36
- 13.8°, 6.434 Å, I = 30
- 24.6°, 3.624 Å, I = 27
- 20.0°, 4.443 Å, I = 26
- 28.6°, 3.123 Å, I = 21
- 23.9°, 3.723 Å, I = 20
- 23.0°, 3.863 Å, I = 15
- 26.3°, 3.384 Å, I = 13

Cell and atoms:
```
18
Lattice="4.4683 0.0000 0.0000 0.0984 6.7721 0.0000 1.0283 3.0806 9.3772" Properties=species:S:1:pos:R:3 pbc="T T T"
H 0.0000 0.0000 0.0000
H 0.7631 1.2888 1.0893
H 2.0003 8.6334 8.2692
H 2.0815 1.1274 2.7995
H 2.2509 2.5680 2.1656
H 3.3441 7.2846 7.2115
H 3.5135 8.7253 6.5777
H 3.5947 1.2193 1.1079
H 4.8319 8.5639 8.2879
Au 2.7975 4.9263 4.6886
Cl 1.5606 6.8902 4.6523
Cl 2.5264 4.7229 2.3917
Cl 3.0687 5.1298 6.9854
Cl 4.0345 2.9625 4.7248
O 1.1821 8.7713 8.8350
O 2.1711 1.6055 1.9358
O 3.4239 8.2472 7.4414
O 4.4129 1.0814 0.5421
```

This entry pairs a crystal structure of LaHfAuCl with its theoretical powder diffractogram. Radiation: Cu Kα. Structure: a DFT-relaxed cell (PBE, Alexandria).
Neutral-atom scattering factors, no anomalous dispersion.

Principal peaks in the range 5 to 70 degrees two-theta, by intensity:
- 31.6°, 2.829 Å, I = 100
- 28.8°, 3.103 Å, I = 56
- 14.0°, 6.330 Å, I = 50
- 25.6°, 3.476 Å, I = 24
- 40.4°, 2.231 Å, I = 23
- 40.6°, 2.221 Å, I = 23
- 46.1°, 1.968 Å, I = 19
- 44.5°, 2.035 Å, I = 15
- 45.8°, 1.980 Å, I = 13
- 46.0°, 1.974 Å, I = 13

Cell and atoms:
```
4
Lattice="3.9360 0.0000 0.0000 -1.9489 4.0491 0.0000 -1.9608 -1.2588 6.3297" Properties=species:S:1:pos:R:3 pbc="T T T"
La 0.0000 0.0000 0.0000
Hf -1.9594 1.7864 3.3308
Au 0.0078 0.2275 4.4006
Cl 0.0169 2.4942 1.6169
```

This entry pairs a crystal structure of LaHfAuCl with its theoretical powder diffractogram. Radiation: Cu Kα. Structure: a DFT-relaxed cell (PBE, Alexandria).
Neutral-atom scattering factors, no anomalous dispersion.

Principal peaks in the range 5 to 70 degrees two-theta, by intensity:
- 31.4°, 2.845 Å, I = 100
- 35.4°, 2.533 Å, I = 44
- 17.5°, 5.066 Å, I = 31
- 34.8°, 2.579 Å, I = 28
- 35.8°, 2.507 Å, I = 26
- 36.0°, 2.497 Å, I = 25
- 39.2°, 2.298 Å, I = 22
- 40.1°, 2.247 Å, I = 22
- 40.3°, 2.240 Å, I = 22
- 24.6°, 3.614 Å, I = 21

Cell and atoms:
```
4
Lattice="3.6475 0.0000 0.0000 0.0000 5.0659 0.0000 -1.8036 0.0000 5.1573" Properties=species:S:1:pos:R:3 pbc="T T T"
La 0.0000 0.0000 0.0000
Hf 0.0136 2.5330 2.9245
Au 1.8310 2.5330 0.7229
Cl 0.0156 0.0000 2.8798
```

This entry pairs a crystal structure of LaHfAuCl with its theoretical powder diffractogram. Radiation: Cu Kα. Structure: a DFT-relaxed cell (PBE, Alexandria).
Neutral-atom scattering factors, no anomalous dispersion.

Principal peaks in the range 5 to 70 degrees two-theta, by intensity:
- 11.5°, 7.679 Å, I = 100
- 35.0°, 2.563 Å, I = 94
- 38.4°, 2.343 Å, I = 79
- 30.2°, 2.958 Å, I = 77
- 59.9°, 1.545 Å, I = 47
- 50.4°, 1.812 Å, I = 42
- 65.1°, 1.434 Å, I = 34
- 23.2°, 3.839 Å, I = 29
- 37.0°, 2.431 Å, I = 28
- 42.4°, 2.132 Å, I = 24

Cell and atoms:
```
4
Lattice="-1.8126 1.8126 7.6788 1.8126 -1.8126 7.6788 1.8126 1.8126 -7.6788" Properties=species:S:1:pos:R:3 pbc="T T T"
La 0.0000 0.0000 0.0000
Hf 0.0000 0.0000 11.9959
Au 0.0000 0.0000 5.3596
Cl 0.0000 0.0000 9.3914
```